Simulated PXRD pattern of U2MnAs2O24 for a wavelength of 1.5418 Å, from a DFT-relaxed cell (PBE+U, Alexandria).
Lines closer than 0.1° are merged.

Atomic structure:
```
U2MnAs2O24
1.0
7.1720 0.0000 0.0000
0.0524 7.2026 0.0000
2.3793 2.2788 9.3628
U Mn As O
2 1 2 24
direct
0.2161 0.2195 0.1074
0.7839 0.7805 0.8926
0.0000 0.0000 0.5000
0.2508 0.7500 0.0005
0.7492 0.2500 0.9995
0.0920 0.7759 0.8928
0.1025 0.8064 0.4512
0.1251 0.5285 0.6092
0.1379 0.1467 0.3158
0.2125 0.9146 0.1033
0.2189 0.5267 0.1135
0.2529 0.0396 0.5961
0.2849 0.2897 0.9123
0.2915 0.5732 0.6304
0.3991 0.4355 0.6583
0.4126 0.1044 0.5201
0.4768 0.7869 0.8872
0.5232 0.2131 0.1128
0.5874 0.8956 0.4799
0.6009 0.5645 0.3417
0.7085 0.4268 0.3696
0.7151 0.7103 0.0877
0.7471 0.9604 0.4039
0.7811 0.4733 0.8865
0.7875 0.0854 0.8967
0.8621 0.8533 0.6842
0.8749 0.4715 0.3908
0.8975 0.1936 0.5488
0.9080 0.2241 0.1072
```

Main lines, by angle (2θ from 5° to 70°):
2θ (°)  Rel. int.  h k l
9.4  100  0 0 1
13.9  38  0 1 1
17.5  34  1 -1 0
17.7  33  1 1 1
19.0  22  0 0 2
20.1  37  1 0 2
25.0  80  0 2 1
25.4  40  1 0 -2
25.6  23  2 0 0
28.4  23  0 1 3